Structure and calculated XRD peak list of Ba2LiTm2N3 (a DFT-relaxed cell (GGA-PBE, OQMD); Cu Kα (λ = 1.5418 Å)).
No peak broadening, texture or thermal motion is included.

Largest 8 diffraction maxima, by angle, 10° ≤ 2θ ≤ 90°:
h k l	d/Å	I (rel.)
1 1 1	4.399	69
1 3 0	3.899	65
1 3 -1	3.492	81
0 0 2	3.262	72
1 3 1	3.218	69
2 2 1	2.867	72
3 1 -1	2.627	100
0 4 3	1.822	67

Cell and atoms:
a b c (Å): 8.2410 13.3524 6.6477
angles (deg): 90.00 101.07 90.00
Space group C2/c (No. 15)
One atom of each set of equivalent atoms:
1 Ba 0.2292 0.0650 0.4168 x8
2 Li 0.0000 0.1491 0.7500 x4
3 Tm 0.1089 0.3087 0.0470 x8
4 N 0.0000 0.4072 0.2500 x4
5 N 0.1517 0.1394 0.0117 x8


Structure and calculated XRD peak list of Nd3Mg3AgHg2 (a DFT-relaxed cell (GGA-PBE, OQMD); Cu Kα (λ = 1.5418 Å)).
No peak broadening, texture or thermal motion is included.

Largest 8 diffraction maxima, by angle, 10° ≤ 2θ ≤ 90°:
h k l	d/Å	I (rel.)
0 1 1	6.894	28
0 0 2	3.980	53
1 3 1	2.915	100
1 4 0	2.684	94
0 3 3	2.298	42
1 4 2	2.226	33
2 3 3	1.566	26
1 7 3	1.484	26

Cell and atoms:
a b c (Å): 4.2795 13.7929 7.9577
angles (deg): 90.00 90.00 90.00
Space group Amm2 (No. 38)
One atom of each set of equivalent atoms:
1 Nd 0.0000 0.0000 0.0000 x2
2 Nd 0.0000 0.2049 0.6145 x4
3 Mg 0.5000 0.0000 0.6503 x2
4 Mg 0.5000 0.1200 0.2891 x4
5 Ag 0.0000 0.0000 0.4088 x2
6 Hg 0.5000 0.1658 0.9102 x4


Structure and calculated XRD peak list of TlFeBr3 (a DFT-relaxed cell (GGA-PBE, OQMD); Cu Kα (λ = 1.5418 Å)).
No peak broadening, texture or thermal motion is included.

Largest 8 diffraction maxima, by angle, 10° ≤ 2θ ≤ 90°:
h k l	d/Å	I (rel.)
0 2 1	4.439	22
6 0 0	3.703	21
0 0 2	3.075	19
6 2 1	2.843	100
0 4 2	2.219	23
12 0 0	1.851	25
6 2 3	1.727	17
12 4 1	1.551	16

Cell and atoms:
a b c (Å): 22.2336 12.8169 6.1496
angles (deg): 90.00 90.00 90.00
Space group Cmc2_1 (No. 36)
One atom of each set of equivalent atoms:
1 Tl 0.0000 0.1629 0.9996 x4
2 Tl 0.1682 0.3316 0.5000 x8
3 Fe 0.0000 0.4997 0.3153 x4
4 Fe 0.1666 0.0000 0.2383 x8
5 Br 0.0000 0.3347 0.5699 x4
6 Br 0.0825 0.4177 0.0694 x8
7 Br 0.0841 0.0829 0.4867 x8
8 Br 0.1665 0.1651 0.9856 x8
9 Br 0.2494 0.0825 0.4851 x8